Diffraction record for Cs2CuCl6F. The powder diffractogram is computed, not measured: it uses a structure optimized by DFT (PBE) and copper Kα.
Kinematic intensities with the Lorentz-polarization factor, no thermal factor.

Crystal structure
abc: 7.0413 7.0413 10.7794
angles: 90.00 90.00 90.00
Space group I4/mmm (No. 139)
Unique sites:
Cs (0.0000, 0.5000, 0.2500) (multiplicity 4)
Cu (0.0000, 0.0000, 0.0000) (multiplicity 2)
Cl (0.0000, 0.0000, 0.2092) (multiplicity 4)
Cl (0.2351, 0.2351, 0.0000) (multiplicity 8)
F (0.0000, 0.0000, 0.5000) (multiplicity 2)

Main lines, in order of rising 2θ (10 to 90 degrees two-theta):
hkl 1 0 1, 2θ = 15.03°, intensity 26.0
hkl 1 1 2, 2θ = 24.34°, intensity 100.0
hkl 2 0 0, 2θ = 25.30°, intensity 42.9
hkl 2 0 2, 2θ = 30.32°, intensity 99.1
hkl 0 0 4, 2θ = 33.25°, intensity 38.4
hkl 2 2 0, 2θ = 36.08°, intensity 67.4
hkl 3 1 2, 2θ = 43.99°, intensity 44.0
hkl 2 2 4, 2θ = 49.87°, intensity 44.1
hkl 4 0 0, 2θ = 51.95°, intensity 21.5
hkl 4 2 2, 2θ = 61.34°, intensity 22.4

=====

Diffraction record for Cs2CuClF3. The powder diffractogram is computed, not measured: it uses a structure optimized by DFT (PBE) and copper Kα.
Kinematic intensities with the Lorentz-polarization factor, no thermal factor.

Crystal structure
abc: 4.5037 4.7678 14.7134
angles: 90.00 90.00 90.00
Space group Immm (No. 71)
Unique sites:
Cs (0.0000, 0.0000, 0.1564) (multiplicity 4)
Cu (0.0000, 0.0000, 0.5000) (multiplicity 2)
Cl (0.0000, 0.5000, 0.5000) (multiplicity 2)
F (0.0000, 0.0000, 0.3647) (multiplicity 4)
F (0.0000, 0.5000, 0.0000) (multiplicity 2)

Main lines, in order of rising 2θ (10 to 90 degrees two-theta):
hkl 0 1 3, 2θ = 26.07°, intensity 85.4
hkl 1 0 3, 2θ = 26.88°, intensity 99.4
hkl 1 1 0, 2θ = 27.24°, intensity 100.0
hkl 0 0 6, 2θ = 36.65°, intensity 33.3
hkl 1 1 4, 2θ = 36.75°, intensity 38.9
hkl 0 2 0, 2θ = 37.74°, intensity 38.0
hkl 2 0 0, 2θ = 40.04°, intensity 31.9
hkl 1 1 6, 2θ = 46.26°, intensity 34.6
hkl 1 2 3, 2θ = 46.94°, intensity 42.9
hkl 2 1 3, 2θ = 48.40°, intensity 31.8

=====

Diffraction record for Cs3Cu2HgCl8. The powder diffractogram is computed, not measured: it uses a structure optimized by DFT (PBE) and copper Kα.
Kinematic intensities with the Lorentz-polarization factor, no thermal factor.

Crystal structure
abc: 7.3926 7.3926 9.6580
angles: 90.00 90.00 120.00
Space group P-3m1 (No. 164)
Unique sites:
Cs (0.0000, 0.0000, 0.0000) (multiplicity 1)
Cs (0.3333, 0.6667, 0.6457) (multiplicity 2)
Cu (0.3333, 0.6667, 0.2228) (multiplicity 2)
Hg (0.0000, 0.0000, 0.5000) (multiplicity 1)
Cl (0.1687, 0.3374, 0.3257) (multiplicity 6)
Cl (0.3333, 0.6667, 0.9965) (multiplicity 2)

Main lines, in order of rising 2θ (10 to 90 degrees two-theta):
hkl 0 1 2, 2θ = 23.07°, intensity 73.7
hkl 1 1 0, 2θ = 24.08°, intensity 100.0
hkl 0 1 3, 2θ = 31.09°, intensity 13.3
hkl 2 0 2, 2θ = 33.59°, intensity 59.7
hkl 1 0 4, 2θ = 39.90°, intensity 13.6
hkl 1 2 2, 2θ = 41.75°, intensity 31.8
hkl 3 0 0, 2θ = 42.35°, intensity 22.2
hkl 0 2 4, 2θ = 47.15°, intensity 17.1
hkl 2 2 0, 2θ = 49.30°, intensity 31.9
hkl 3 1 2, 2θ = 55.11°, intensity 14.4

=====

Diffraction record for CsCuHg2Cl8. The powder diffractogram is computed, not measured: it uses a structure optimized by DFT (PBE) and copper Kα.
Kinematic intensities with the Lorentz-polarization factor, no thermal factor.

Crystal structure
abc: 6.9346 7.3726 9.2000
angles: 72.91 73.06 80.03
Space group P-1 (No. 2)
Unique sites:
Cs (0.0000, 0.0000, 0.0000) (multiplicity 1)
Cu (0.0000, 0.0000, 0.5000) (multiplicity 1)
Hg (0.4832, 0.4969, 0.2966) (multiplicity 2)
Cl (0.1159, 0.7836, 0.6833) (multiplicity 2)
Cl (0.2352, 0.8992, 0.3157) (multiplicity 2)
Cl (0.2885, 0.3235, 0.5321) (multiplicity 2)
Cl (0.3452, 0.3429, 0.9542) (multiplicity 2)

Main lines, in order of rising 2θ (10 to 90 degrees two-theta):
hkl 0 1 0, 2θ = 12.62°, intensity 19.2
hkl 1 1 0, 2θ = 17.54°, intensity 100.0
hkl 1 -1 0, 2θ = 19.32°, intensity 94.1
hkl 0 1 2, 2θ = 21.46°, intensity 32.4
hkl 1 0 2, 2θ = 21.78°, intensity 36.3
hkl 0 2 0, 2θ = 25.40°, intensity 24.7
hkl 1 2 2, 2θ = 27.99°, intensity 46.4
hkl 2 1 2, 2θ = 28.99°, intensity 42.2
hkl 2 -1 2, 2θ = 35.52°, intensity 30.2
hkl 2 3 2, 2θ = 42.07°, intensity 20.5